Structure and simulated XRD peak list of Mg2NbB2Rh5 (a crystal structure in Alexandria, relaxed with GGA-PBE; Cu Kα X-rays).

Main lines, by intensity (5 to 70 degrees two-theta):
(3 1 1), 42.66 deg, 2.119 Å, rel. 100; (4 2 0), 41.95 deg, 2.154 Å, rel. 62; (4 1 0), 38.54 deg, 2.336 Å, rel. 62; (3 2 1), 45.82 deg, 1.980 Å, rel. 43; (0 0 1), 30.29 deg, 2.951 Å, rel. 41; (2 1 0), 20.62 deg, 4.307 Å, rel. 37; (2 2 1), 40.45 deg, 2.230 Å, rel. 36; (3 2 0), 33.55 deg, 2.671 Å, rel. 36

Crystal structure
abc: 9.632 9.632 2.951
angles: 90.00 90.00 90.00
Element x y z (fractional)
Mg  0.177  0.323  0.000
Mg  0.323  0.823  0.000
Mg  0.677  0.177  0.000
Mg  0.823  0.677  0.000
Nb  0.000  0.000  0.000
Nb  0.500  0.500  0.000
B  0.121  0.621  0.000
B  0.379  0.121  0.000
B  0.621  0.879  0.000
B  0.879  0.379  0.000
Rh  0.000  0.500  0.500
Rh  0.072  0.779  0.500
Rh  0.221  0.072  0.500
Rh  0.279  0.572  0.500
Rh  0.428  0.279  0.500
Rh  0.500  0.000  0.500
Rh  0.572  0.721  0.500
Rh  0.721  0.428  0.500
Rh  0.779  0.928  0.500
Rh  0.928  0.221  0.500